(1)
Simulated PXRD pattern of NbBrN2F for Cu Kα (weighted mean of Kα1 and Kα2), from a structure optimized by DFT (PBE).
Lines closer than 0.1° are merged.

Peak list (10 most intense, 10° ≤ 2θ ≤ 90°, by angle)
30.42°, d = 2.938 Å, rel. 1000
43.47°, d = 2.082 Å, rel. 115
43.61°, d = 2.075 Å, rel. 227
54.06°, d = 1.696 Å, rel. 394
63.27°, d = 1.470 Å, rel. 137
63.38°, d = 1.468 Å, rel. 68
71.92°, d = 1.313 Å, rel. 115
79.99°, d = 1.200 Å, rel. 68
87.82°, d = 1.112 Å, rel. 66
87.98°, d = 1.110 Å, rel. 140

Crystal structure
Lattice parameters (Å, degrees): 4.1509 4.1509 4.1638 90.00 90.00 90.00
Sites, in units of the cell vectors:
Nb (0.0000, 0.0000, 0.0000)
Br (0.5000, 0.5000, 0.5000)
N (0.0000, 0.5000, 0.0000)
N (0.5000, 0.0000, 0.0000)
F (0.0000, 0.0000, 0.5000)

(2)
Simulated PXRD pattern of Na3BrF2 for Cu Kα (weighted mean of Kα1 and Kα2), from a structure optimized by DFT (PBE).
Lines closer than 0.1° are merged.

Peak list (10 most intense, 10° ≤ 2θ ≤ 90°, by angle)
20.70°, d = 4.292 Å, rel. 341
29.74°, d = 3.004 Å, rel. 629
29.98°, d = 2.980 Å, rel. 436
31.90°, d = 2.806 Å, rel. 619
33.42°, d = 2.681 Å, rel. 1000
39.16°, d = 2.300 Å, rel. 413
42.74°, d = 2.116 Å, rel. 299
45.80°, d = 1.981 Å, rel. 254
51.36°, d = 1.779 Å, rel. 290
55.47°, d = 1.657 Å, rel. 328

Crystal structure
Lattice parameters (Å, degrees): 3.9622 11.9217 4.6005 90.00 90.00 90.00
Sites, in units of the cell vectors:
Na (0.2500, 0.0382, 0.2498)
Na (0.2500, 0.2500, 0.7493)
Na (0.2500, 0.4618, 0.2498)
Na (0.7500, 0.5382, 0.7502)
Na (0.7500, 0.7500, 0.2507)
Na (0.7500, 0.9618, 0.7502)
Br (0.2500, 0.7500, 0.7510)
Br (0.7500, 0.2500, 0.2490)
F (0.2500, 0.0596, 0.7498)
F (0.2500, 0.4404, 0.7498)
F (0.7500, 0.5596, 0.2502)
F (0.7500, 0.9404, 0.2502)

(3)
Simulated PXRD pattern of Na6BrF5 for Cu Kα (weighted mean of Kα1 and Kα2), from a structure optimized by DFT (PBE).
Lines closer than 0.1° are merged.

Peak list (10 most intense, 10° ≤ 2θ ≤ 90°, by angle)
17.54°, d = 5.057 Å, rel. 142
19.63°, d = 4.523 Å, rel. 130
26.90°, d = 3.315 Å, rel. 122
31.01°, d = 2.883 Å, rel. 160
34.16°, d = 2.625 Å, rel. 133
35.93°, d = 2.500 Å, rel. 492
36.16°, d = 2.484 Å, rel. 1000
51.68°, d = 1.769 Å, rel. 425
52.11°, d = 1.755 Å, rel. 291
52.45°, d = 1.745 Å, rel. 155

Crystal structure
Lattice parameters (Å, degrees): 6.1271 6.1271 6.0658 99.93 99.93 120.00
Sites, in units of the cell vectors:
Na (0.0339, 0.4100, 0.2467)
Na (0.2283, 0.2283, 0.7811)
Na (0.4100, 0.0339, 0.2467)
Na (0.5900, 0.9661, 0.7533)
Na (0.7717, 0.7717, 0.2189)
Na (0.9661, 0.5900, 0.7533)
Br (0.5000, 0.5000, 0.5000)
F (0.0000, 0.0000, 0.0000)
F (0.1679, 0.8321, 0.5000)
F (0.3319, 0.6681, 0.0000)
F (0.6681, 0.3319, 0.0000)
F (0.8321, 0.1679, 0.5000)